[1]
For Li4Fe3Sn2Sb3O16, the PBE+U geometry in the Materials Project gives the calculated PXRD pattern in this record (Cu Kα (λ = 1.5418 Å)).

Peak list (10 most intense, 2θ = 10–80°, low angle first)
| 2theta | I (rel.) |
| --- | --- |
| 17.86 | 454 |
| 18.60 | 1000 |
| 18.75 | 414 |
| 24.22 | 311 |
| 24.46 | 288 |
| 31.81 | 350 |
| 33.14 | 273 |
| 34.29 | 379 |
| 34.46 | 493 |
| 59.19 | 455 |

a b c (Å): 6.247 6.247 9.936
angles (deg): 90.68 90.68 59.92
Sites, in units of the cell vectors:
Li  0.000  0.000  0.000
Li  0.007  0.007  0.517
Li  0.332  0.332  0.614
Li  0.668  0.668  0.095
Fe  0.164  0.164  0.286
Fe  0.331  0.819  0.788
Fe  0.819  0.331  0.788
Sn  0.316  0.316  0.999
Sn  0.651  0.651  0.522
Sb  0.162  0.656  0.285
Sb  0.656  0.162  0.285
Sb  0.821  0.821  0.786
O  0.036  0.481  0.162
O  0.143  0.664  0.907
O  0.152  0.152  0.905
O  0.315  0.828  0.400
O  0.331  0.331  0.394
O  0.478  0.478  0.162
O  0.481  0.036  0.162
O  0.511  0.511  0.657
O  0.524  0.962  0.656
O  0.664  0.143  0.907
O  0.672  0.672  0.898
O  0.828  0.315  0.400
O  0.833  0.833  0.397
O  0.962  0.524  0.656
O  0.981  0.981  0.697
O  0.993  0.993  0.187

[2]
For Li2Mn3FeO8, the PBE+U geometry in the Materials Project gives the calculated PXRD pattern in this record (Cu Kα (λ = 1.5418 Å)).

Peak list (10 most intense, 2θ = 10–80°, low angle first)
| 2theta | I (rel.) |
| --- | --- |
| 18.63 | 1000 |
| 19.52 | 308 |
| 19.63 | 529 |
| 19.82 | 244 |
| 19.99 | 487 |
| 35.97 | 435 |
| 36.10 | 267 |
| 36.34 | 310 |
| 37.03 | 244 |
| 60.25 | 245 |

a b c (Å): 5.814 5.871 9.525
angles (deg): 90.06 90.54 118.53
Sites, in units of the cell vectors:
Li  0.000  0.000  0.000
Li  0.009  0.986  0.501
Li  0.333  0.657  0.110
Li  0.677  0.329  0.606
Mn  0.170  0.823  0.783
Mn  0.177  0.333  0.782
Mn  0.347  0.163  0.285
Mn  0.664  0.827  0.784
Mn  0.836  0.653  0.280
Mn  0.839  0.163  0.285
Fe  0.351  0.667  0.505
Fe  0.665  0.319  0.006
O  0.023  0.022  0.185
O  0.048  0.521  0.663
O  0.168  0.315  0.400
O  0.178  0.836  0.393
O  0.319  0.149  0.894
O  0.343  0.669  0.891
O  0.478  0.959  0.666
O  0.514  0.464  0.164
O  0.516  0.541  0.654
O  0.525  0.030  0.166
O  0.660  0.298  0.397
O  0.690  0.839  0.392
O  0.815  0.140  0.898
O  0.845  0.674  0.895
O  0.963  0.465  0.163
O  0.996  0.987  0.688